The following is a calculated powder diffractogram of La3Hg. It was derived from a crystal structure in the Materials Project, relaxed with GGA-PBE, using CuKα.
Peak positions follow from Bragg's law for the DFT cell and can differ from measured ones.

Top 10 peaks for 2θ from 10° to 90°, sorted by position:
| Position (°2θ) | d (Å) | I (rel.) |
| --- | --- | --- |
| 30.72 | 2.910 | 100 |
| 33.72 | 2.658 | 20 |
| 36.54 | 2.459 | 32 |
| 50.57 | 1.805 | 25 |
| 52.64 | 1.739 | 11 |
| 58.46 | 1.579 | 16 |
| 62.19 | 1.493 | 27 |
| 63.99 | 1.455 | 12 |
| 82.53 | 1.169 | 18 |
| 85.79 | 1.133 | 6 |

```
La3Hg
1.0
-2.459 2.459 5.315
2.459 -2.459 5.315
2.459 2.459 -5.315
La Hg
3 1
Cartesian
0.000 0.000 0.000 La
2.459 0.000 2.658 La
0.000 2.459 2.658 La
0.000 0.000 5.315 Hg
```

=====

The following is a calculated powder diffractogram of AlPH8C3Cl3. It was derived from a crystal structure in the Materials Project, relaxed with GGA-PBE, using CuKα.
Peak positions follow from Bragg's law for the DFT cell and can differ from measured ones.

Top 10 peaks for 2θ from 10° to 90°, sorted by position:
| Position (°2θ) | d (Å) | I (rel.) |
| --- | --- | --- |
| 12.05 | 7.343 | 70 |
| 14.08 | 6.288 | 56 |
| 16.34 | 5.424 | 78 |
| 21.65 | 4.104 | 40 |
| 24.19 | 3.680 | 100 |
| 25.62 | 3.477 | 45 |
| 27.51 | 3.242 | 41 |
| 28.39 | 3.144 | 29 |
| 28.50 | 3.131 | 62 |
| 44.72 | 2.027 | 28 |

```
AlPH8C3Cl3
1.0
6.845 0.000 0.000
0.000 10.833 0.000
-3.159 0.000 7.343
Al P H C Cl
2 2 16 6 6
Cartesian
0.419 0.000 0.565 Al
3.267 5.417 6.778 Al
-1.902 0.013 5.619 P
5.589 5.429 1.724 P
-1.460 8.467 5.445 H
-1.440 2.367 5.461 H
-0.563 9.406 4.198 H
-0.551 1.423 4.220 H
-0.198 5.241 3.984 H
0.872 6.204 2.784 H
-0.002 9.386 5.896 H
0.041 1.464 5.923 H
3.646 6.880 1.420 H
3.688 3.969 1.447 H
2.814 0.787 4.559 H
3.884 10.657 3.358 H
4.238 6.839 3.123 H
4.249 3.989 3.145 H
5.126 7.784 1.882 H
5.147 3.051 1.898 H
0.001 5.576 2.963 C
-0.890 9.381 5.247 C
-0.850 1.464 5.276 C
4.537 6.880 2.067 C
4.577 3.965 2.096 C
3.685 0.160 4.380 C
-1.430 5.414 6.803 Cl
1.189 1.762 1.518 Cl
1.193 9.067 1.514 Cl
2.494 3.651 5.829 Cl
2.497 7.179 5.825 Cl
5.117 10.831 0.540 Cl
```

=====

The following is a calculated powder diffractogram of AsS. It was derived from a crystal structure in the Materials Project, relaxed with GGA-PBE, using CuKα.
Peak positions follow from Bragg's law for the DFT cell and can differ from measured ones.

Top 10 peaks for 2θ from 10° to 90°, sorted by position:
| Position (°2θ) | d (Å) | I (rel.) |
| --- | --- | --- |
| 13.69 | 6.467 | 32 |
| 14.28 | 6.202 | 49 |
| 14.97 | 5.919 | 27 |
| 15.29 | 5.797 | 100 |
| 26.04 | 3.422 | 44 |
| 26.24 | 3.397 | 19 |
| 27.72 | 3.219 | 20 |
| 28.56 | 3.126 | 37 |
| 30.35 | 2.945 | 38 |
| 33.45 | 2.679 | 27 |

```
AsS
1.0
7.127 0.000 0.000
0.000 14.703 0.000
-4.367 0.000 9.425
As S
16 16
Cartesian
-1.377 2.022 3.865 As
-3.561 5.329 8.577 As
-2.749 0.214 8.265 As
-0.565 7.138 3.552 As
-0.697 9.653 4.338 As
-2.881 12.401 9.051 As
1.650 9.209 1.780 As
-0.533 12.845 6.492 As
3.293 1.858 2.933 As
1.110 5.494 7.645 As
5.641 2.302 0.375 As
3.457 5.049 5.087 As
3.325 7.565 5.873 As
5.509 14.489 1.160 As
6.321 9.373 0.848 As
4.137 12.680 5.560 As
-0.443 3.184 2.168 S
-2.627 4.167 6.881 S
-0.605 0.013 3.169 S
-2.788 7.338 7.882 S
-0.655 0.207 7.417 S
1.529 7.144 2.705 S
1.368 10.318 3.725 S
-0.816 11.736 8.437 S
3.576 2.967 0.988 S
1.392 4.385 5.700 S
1.231 7.558 6.720 S
3.415 14.496 2.008 S
5.548 7.365 1.543 S
3.365 14.689 6.256 S
5.387 10.536 2.544 S
3.203 11.518 7.257 S
```

=====

The following is a calculated powder diffractogram of Dy3P6Pd20. It was derived from a crystal structure in the Materials Project, relaxed with GGA-PBE, using CuKα.
Peak positions follow from Bragg's law for the DFT cell and can differ from measured ones.

Top 10 peaks for 2θ from 10° to 90°, sorted by position:
| Position (°2θ) | d (Å) | I (rel.) |
| --- | --- | --- |
| 32.58 | 2.748 | 23 |
| 35.79 | 2.509 | 36 |
| 38.05 | 2.365 | 100 |
| 41.57 | 2.173 | 33 |
| 43.57 | 2.077 | 22 |
| 49.18 | 1.853 | 12 |
| 64.32 | 1.448 | 30 |
| 65.81 | 1.419 | 15 |
| 75.85 | 1.254 | 21 |
| 77.24 | 1.235 | 10 |

```
Dy3P6Pd20
1.0
0.000 6.145 6.145
6.145 0.000 6.145
6.145 6.145 0.000
Dy P Pd
3 6 20
Cartesian
0.000 0.000 0.000 Dy
3.072 3.072 3.072 Dy
9.217 9.217 9.217 Dy
6.145 6.145 3.242 P
6.145 3.242 6.145 P
9.048 6.145 6.145 P
3.242 6.145 6.145 P
6.145 9.048 6.145 P
6.145 6.145 9.048 P
2.120 2.120 0.000 Pd
4.025 4.025 0.000 Pd
2.120 0.000 2.120 Pd
6.145 4.025 2.120 Pd
4.025 0.000 4.025 Pd
6.145 2.120 4.025 Pd
7.569 4.720 4.720 Pd
0.000 2.120 2.120 Pd
4.025 6.145 2.120 Pd
4.025 2.120 6.145 Pd
4.720 4.720 4.720 Pd
7.569 7.569 4.720 Pd
7.569 4.720 7.569 Pd
4.720 7.569 4.720 Pd
4.720 4.720 7.569 Pd
7.569 7.569 7.569 Pd
0.000 4.025 4.025 Pd
2.120 6.145 4.025 Pd
2.120 4.025 6.145 Pd
4.720 7.569 7.569 Pd
```

=====

The following is a calculated powder diffractogram of Li2SeO7. It was derived from a crystal structure in the Materials Project, relaxed with GGA-PBE, using CuKα.
Peak positions follow from Bragg's law for the DFT cell and can differ from measured ones.

Top 10 peaks for 2θ from 10° to 90°, sorted by position:
| Position (°2θ) | d (Å) | I (rel.) |
| --- | --- | --- |
| 18.76 | 4.730 | 88 |
| 23.67 | 3.759 | 100 |
| 26.56 | 3.356 | 37 |
| 28.82 | 3.098 | 18 |
| 30.45 | 2.935 | 14 |
| 30.81 | 2.902 | 14 |
| 34.61 | 2.591 | 19 |
| 38.77 | 2.323 | 17 |
| 39.72 | 2.269 | 17 |
| 48.43 | 1.880 | 19 |

```
Li2SeO7
1.0
6.712 0.000 0.000
0.000 12.391 0.000
0.000 0.000 6.666
Li Se O
8 4 28
Cartesian
0.060 1.372 1.126 Li
0.060 4.823 2.207 Li
3.297 7.568 2.207 Li
3.297 11.018 1.126 Li
3.416 1.372 5.540 Li
3.416 4.823 4.459 Li
6.653 7.568 4.459 Li
6.653 11.018 5.540 Li
1.400 3.098 5.000 Se
1.956 9.293 5.000 Se
4.756 3.098 1.667 Se
5.312 9.293 1.667 Se
0.904 8.565 6.080 O
0.904 10.021 3.919 O
1.058 0.024 2.446 O
1.058 6.172 0.887 O
1.580 1.200 6.428 O
1.580 4.995 3.571 O
1.678 0.000 5.585 O
1.678 6.195 4.414 O
1.776 7.396 3.571 O
1.776 11.190 6.428 O
2.298 6.219 0.887 O
2.298 12.367 2.446 O
2.452 2.370 3.919 O
2.452 3.826 6.080 O
4.260 8.565 0.586 O
4.260 10.021 2.747 O
4.414 0.024 4.220 O
4.414 6.172 5.779 O
4.936 1.200 0.238 O
4.936 4.995 3.095 O
5.034 0.000 1.081 O
5.034 6.195 2.252 O
5.132 7.396 3.095 O
5.132 11.190 0.238 O
5.654 6.219 5.779 O
5.654 12.367 4.220 O
5.808 2.370 2.747 O
5.808 3.826 0.586 O
```